# Mn3AlGa2
Computed X-ray diffraction stick pattern, a wavelength of 1.5418 Å. Input: a crystal structure in Alexandria, relaxed with GGA-PBE.
Kinematic intensities with the Lorentz-polarization factor, no thermal factor.

Structural model:
Lattice parameters (Å, degrees): 6.061 6.061 3.631 90.00 90.00 143.14
Atoms (fractional coordinates):
Mn1 0.000 0.000 0.000
Mn2 0.333 0.667 0.000
Mn3 0.667 0.333 0.000
Al1 0.500 0.500 0.500
Ga1 0.165 0.835 0.500
Ga2 0.835 0.165 0.500

Largest 10 diffraction maxima, sorted by position, 2θ = 10–90°:
2θ = 15.41°, I = 5; 2θ = 24.49°, I = 4; 2θ = 34.92°, I = 3; 2θ = 41.58°, I = 100; 2θ = 47.44°, I = 33; 2θ = 50.25°, I = 14; 2θ = 69.35°, I = 10; 2θ = 71.60°, I = 18; 2θ = 84.22°, I = 23; 2θ = 88.46°, I = 10